For Mn3O4F2, a cell relaxed with PBE+U gives the simulated X-ray diffraction stick pattern in this record (Cu Kα (weighted mean of Kα1 and Kα2)).
Neutral-atom scattering factors, no anomalous dispersion.

Principal peaks in the range 10 to 90 degrees two-theta, by angle:
d = 3.352 Å, I 100, (1 1 2)
d = 3.219 Å, I 98, (1 -1 0)
d = 2.559 Å, I 56, (1 0 -2)
d = 2.546 Å, I 49, (2 1 0)
d = 2.216 Å, I 16, (0 2 -1)
d = 1.743 Å, I 31, (1 0 4)
d = 1.731 Å, I 28, (3 2 2)
d = 1.698 Å, I 28, (-2 1 2)
d = 1.676 Å, I 19, (2 2 4)
d = 1.609 Å, I 16, (2 -2 0)
d = 1.528 Å, I 17, (2 2 -2)
d = 1.378 Å, I 25, (4 1 2)

Atomic structure:
```
data_Mn3O4F2
_chemical_formula_sum 'Mn6 O8 F4'
_cell_length_a 5.546
_cell_length_b 5.549
_cell_length_c 7.390
_cell_angle_alpha 71.50
_cell_angle_beta 71.35
_cell_angle_gamma 70.93
_space_group_name_H-M_alt 'P 1'
_space_group_IT_number 1
_space_group_name_Hall 'P 1'
loop_
_atom_site_label
_atom_site_type_symbol
_atom_site_fract_x
_atom_site_fract_y
_atom_site_fract_z
Mn1 Mn 0.000 0.000 0.000
Mn2 Mn 0.014 0.015 0.501
Mn3 Mn 0.339 0.340 0.175
Mn4 Mn 0.363 0.303 0.670
Mn5 Mn 0.651 0.651 0.834
Mn6 Mn 0.683 0.685 0.354
O1 O 0.116 0.097 0.710
O2 O 0.305 0.694 0.003
O3 O 0.371 0.982 0.340
O4 O 0.571 0.552 0.637
O5 O 0.661 0.007 0.672
O6 O 0.692 0.305 0.002
O7 O 0.912 0.903 0.297
O8 O 0.981 0.373 0.340
F1 F 0.046 0.622 0.672
F2 F 0.231 0.233 0.978
F3 F 0.457 0.458 0.363
F4 F 0.765 0.755 0.041
```